Structure and calculated X-ray powder pattern of NaPm2Th (DFT lattice parameters and positions (PBE); Cu Kα, 1.54184 Å).
Lines closer than 0.1° are merged.

Crystal structure
```
data_NaPm2Th
_cell_length_a 3.616
_cell_length_b 3.616
_cell_length_c 10.615
_cell_angle_alpha 90.00
_cell_angle_beta 90.00
_cell_angle_gamma 90.00
_symmetry_space_group_name_H-M 'P 4/m m m'
_symmetry_Int_Tables_number 123
_symmetry_space_group_name_Hall '-P 4 2'
loop_
_atom_site_label
_atom_site_fract_x
_atom_site_fract_y
_atom_site_fract_z
Na1 0.000 0.000 0.000
Pm1 0.500 0.500 0.274
Th1 0.000 0.000 0.500
```

Peak list (8 most intense, 15 to 90 degrees two-theta, low angle first)
hkl	2θ (°)	d_spacing	I/Imax
1 0 2	29.90	2.988	100
0 0 4	33.78	2.654	16
1 1 0	35.10	2.557	34
1 0 3	35.50	2.529	24
1 1 1	36.14	2.486	13
1 1 4	49.50	1.841	21
2 0 0	50.48	1.808	12
2 1 2	59.79	1.547	28